Diffraction record for Tb2P7Rh12. The powder diffraction line list is calculated, not measured: it uses a structure optimized by DFT (GGA-PBE) and Cu Kα X-rays.

Main lines, by intensity (2θ = 15–90°):
Position (°2θ), I_rel, h k l
36.77, 100, 1 -2 3
50.18, 18, 0 1 -5
46.88, 15, 2 0 0
28.34, 14, 0 3 -1
71.10, 11, 2 1 -5
80.33, 10, 3 1 2
37.39, 9, 0 4 -2
47.57, 8, 0 5 -2

Structure:
```
data_Tb2P7Rh12
_chemical_formula_sum 'Tb2 P7 Rh12'
_cell_length_a 3.8759
_cell_length_b 9.6154
_cell_length_c 9.6171
_cell_angle_alpha 119.91
_cell_angle_beta 90.01
_cell_angle_gamma 90.01
_space_group_name_H-M_alt 'P -1'
_space_group_IT_number 2
loop_
_space_group_symop_operation_xyz
'x,y,z'
'-x,-y,-z'
loop_
_atom_site_label
_atom_site_type_symbol
_atom_site_fract_x
_atom_site_fract_y
_atom_site_fract_z
_atom_site_occupancy
Tb1 Tb 0.2491 0.1670 0.3337 1
P1 P 0.0000 0.5000 0.0000 1
P2 P 0.2555 0.0947 0.7128 1
P3 P 0.2550 0.6177 0.4047 1
P4 P 0.2555 0.7867 0.8818 1
Rh1 Rh 0.2480 0.3881 0.1506 1
Rh2 Rh 0.2478 0.7618 0.1113 1
Rh3 Rh 0.2486 0.3495 0.7385 1
Rh4 Rh 0.2512 0.0503 0.9315 1
Rh5 Rh 0.2514 0.5673 0.6184 1
Rh6 Rh 0.2511 0.8813 0.4490 1
```